This entry pairs a crystal structure of CdAs2O6F with its computed powder diffractogram. Radiation: copper Kα. Structure: a structure optimized by DFT (GGA-PBE).

Peak list (6 most intense, 10 to 90 degrees two-theta, by angle)
2θ (°)  d/Å  Rel. int.  hkl
20.24  4.388  38  1 1 -1
22.76  3.907  100  3 1 0
25.15  3.542  25  3 1 -1
26.08  3.417  69  0 2 1
40.31  2.237  25  4 0 -2
42.70  2.117  31  6 0 0

Crystal structure
a = 13.3976 Å, b = 10.1703 Å, c = 4.8698 Å
α = 90.00°, β = 108.66°, γ = 90.00°
Space group C2/c (No. 15)
Inequivalent atoms, fractional coordinates:
Cd 0.0000 0.1287 0.2500 x4
As 0.1703 0.4142 0.6183 x8
O 0.1116 0.4481 0.8888 x8
O 0.1324 0.2695 0.4649 x8
O 0.1993 0.0412 0.2354 x8
F 0.0000 0.0861 0.7500 x4